For Ce2Mg2Sc, the PBE geometry in Alexandria gives the simulated powder diffraction line list in this record (Cu Kα, 1.54184 Å).

abc: 3.126 3.126 25.220
angles: 90.00 90.00 90.00
Space group I4/mmm (No. 139)
Symmetry-distinct sites (fractional):
1 Ce 0.000 0.000 0.199 [4 per cell]
2 Mg 0.000 0.000 0.407 [4 per cell]
3 Sc 0.000 0.000 0.000 [2 per cell]

Main lines, low angle first (5° ≤ 2θ ≤ 70°):
2θ 7.0, I = 100, hkl 0 0 2
2θ 14.0, I = 8, hkl 0 0 4
2θ 28.3, I = 7, hkl 0 0 8
2θ 30.5, I = 19, hkl 1 0 3
2θ 33.7, I = 68, hkl 1 0 5
2θ 35.6, I = 14, hkl 0 0 10
2θ 40.8, I = 20, hkl 1 1 0
2θ 55.3, I = 16, hkl 1 1 10
2θ 62.7, I = 10, hkl 1 0 15
2θ 69.8, I = 16, hkl 2 1 5